Theoretical X-ray diffraction stick pattern of KHgPb11 for Cu Kα, 1.54184 Å, from the GGA-PBE geometry in Alexandria.

Atomic structure:
Lattice parameters (Å, degrees): 6.5124 16.0985 8.7913 90.00 110.39 90.00
Space group C2/m (No. 12)
Unique sites:
K: 0.0000 0.0000 0.0000 [2 per cell]
Hg: 0.0000 0.5000 0.5000 [2 per cell]
Pb: 0.0000 0.0000 0.5000 [2 per cell]
Pb: 0.1053 0.3913 0.2228 [8 per cell]
Pb: 0.1768 0.1777 0.3551 [8 per cell]
Pb: 0.2500 0.2500 0.0000 [4 per cell]

The 8 most intense peaks (2θ from 5° to 70°), low angle first:
| 2theta | d (Å) | intensity | (hkl) |
| --- | --- | --- | --- |
| 31.06 | 2.879 | 81 | 0 4 2 |
| 31.37 | 2.852 | 71 | 2 2 0 |
| 31.80 | 2.814 | 41 | 2 2 -2 |
| 34.51 | 2.599 | 62 | 0 2 3 |
| 34.72 | 2.584 | 35 | 2 0 1 |
| 35.01 | 2.563 | 40 | 1 5 1 |
| 35.18 | 2.551 | 39 | 0 6 1 |
| 35.49 | 2.529 | 100 | 2 0 -3 |